Computed powder XRD pattern
Compound: CePm3Co8
Radiation: Cu Kα (weighted mean of Kα1 and Kα2)
Structure: a structure optimized by DFT (PBE)
Neutral-atom scattering factors, no anomalous dispersion.

Main lines, most intense first (2θ from 5° to 70°):
(1 1 6), 2θ 41.47, I = 100
(1 1 0), 2θ 35.15, I = 62
(2 0 14), 2θ 67.38, I = 30
(3 0 0), 2θ 63.07, I = 23
(0 0 12), 2θ 43.41, I = 16
(0 0 6), 2θ 21.31, I = 11
(0 1 14), 2θ 55.46, I = 3

Structure:
```
data_CePm3Co8
_space_group_name_H-M_alt 'R 3 m'
_space_group_IT_number 160
_space_group_name_Hall 'R 3 -2"'
_cell_length_a 5.1065
_cell_length_b 5.1065
_cell_length_c 25.0141
_cell_angle_alpha 90.00
_cell_angle_beta 90.00
_cell_angle_gamma 120.00
loop_
_atom_site_label
_atom_site_type_symbol
_atom_site_fract_x
_atom_site_fract_y
_atom_site_fract_z
_atom_site_occupancy
Ce1 Ce 0.0000 0.0000 0.0000 1
Pm1 Pm 0.0000 0.0000 0.1250 1
Pm2 Pm 0.0000 0.0000 0.5005 1
Pm3 Pm 0.0000 0.0000 0.6258 1
Co1 Co 0.0000 0.0000 0.3134 1
Co2 Co 0.0000 0.0000 0.8132 1
Co3 Co 0.9999 0.4999 0.0623 1
Co4 Co 0.0011 0.5006 0.5635 1
```

---

Computed powder XRD pattern
Compound: Nd2Ho3Sc3
Radiation: Cu Kα (weighted mean of Kα1 and Kα2)
Structure: a structure optimized by DFT (PBE)
Neutral-atom scattering factors, no anomalous dispersion.

Main lines, most intense first (2θ from 5° to 70°):
(1 1 4), 2θ 31.61, I = 100
(2 0 0), 2θ 36.83, I = 33
(2 2 0), 2θ 52.69, I = 23
(1 0 1), 2θ 18.76, I = 18
(0 2 0), 2θ 36.32, I = 17
(1 3 4), 2θ 62.42, I = 14
(3 1 4), 2θ 63.15, I = 13
(1 1 12), 2θ 63.04, I = 13
(2 2 8), 2θ 66.01, I = 11
(2 0 8), 2θ 53.07, I = 11

Structure:
```
data_Nd2Ho3Sc3
_space_group_name_H-M_alt 'I m m m'
_space_group_IT_number 71
_space_group_name_Hall '-I 2 2'
_cell_length_a 4.876
_cell_length_b 4.947
_cell_length_c 19.544
_cell_angle_alpha 90.00
_cell_angle_beta 90.00
_cell_angle_gamma 90.00
loop_
_atom_site_label
_atom_site_type_symbol
_atom_site_fract_x
_atom_site_fract_y
_atom_site_fract_z
_atom_site_occupancy
Nd1 Nd 0.000 0.000 0.250 1
Ho1 Ho 0.000 0.000 0.000 1
Ho2 Ho 0.000 0.500 0.120 1
Sc1 Sc 0.000 0.000 0.500 1
Sc2 Sc 0.000 0.500 0.379 1
```

---

Computed powder XRD pattern
Compound: BiAsC
Radiation: Cu Kα (weighted mean of Kα1 and Kα2)
Structure: a structure optimized by DFT (PBE)
Neutral-atom scattering factors, no anomalous dispersion.

Main lines, most intense first (2θ from 5° to 70°):
(1 1 1), 2θ 29.45, I = 100
(1 0 0), 2θ 14.55, I = 60
(1 0 -1), 2θ 19.82, I = 60
(0 1 1), 2θ 25.35, I = 42
(0 1 2), 2θ 34.97, I = 33
(2 0 -1), 2θ 32.28, I = 28
(1 1 -2), 2θ 37.89, I = 26
(2 1 0), 2θ 36.53, I = 24
(3 1 0), 2θ 49.95, I = 22
(0 0 1), 2θ 13.61, I = 20

Structure:
```
data_BiAsC
_space_group_name_H-M_alt 'P 1 m 1'
_space_group_IT_number 6
_space_group_name_Hall 'P -2y'
_cell_length_a 6.091
_cell_length_b 4.174
_cell_length_c 6.508
_cell_angle_alpha 90.00
_cell_angle_beta 90.82
_cell_angle_gamma 90.00
loop_
_atom_site_label
_atom_site_type_symbol
_atom_site_fract_x
_atom_site_fract_y
_atom_site_fract_z
_atom_site_occupancy
Bi1 Bi 0.000 0.000 0.000 1
Bi2 Bi 0.197 0.500 0.295 1
As1 As 0.329 0.000 0.707 1
As2 As 0.557 0.500 0.830 1
C1 C 0.744 0.500 0.601 1
C2 C 0.885 0.500 0.466 1
```

---

Computed powder XRD pattern
Compound: WBr5N2
Radiation: Cu Kα (weighted mean of Kα1 and Kα2)
Structure: a structure optimized by DFT (PBE)
Neutral-atom scattering factors, no anomalous dispersion.

Main lines, most intense first (2θ from 5° to 70°):
(1 1 1), 2θ 15.01, I = 100
(2 0 0), 2θ 14.31, I = 73
(3 1 1), 2θ 25.36, I = 29
(2 0 2), 2θ 26.55, I = 28
(3 1 3), 2θ 40.99, I = 27
(0 4 0), 2θ 28.77, I = 21
(1 5 1), 2θ 38.68, I = 20
(6 0 0), 2θ 44.04, I = 18
(3 5 3), 2θ 55.28, I = 17
(0 0 2), 2θ 22.24, I = 16

Structure:
```
data_WBr5N2
_space_group_name_H-M_alt 'F m m 2'
_space_group_IT_number 42
_space_group_name_Hall 'F 2 -2'
_cell_length_a 12.352
_cell_length_b 12.410
_cell_length_c 7.994
_cell_angle_alpha 90.00
_cell_angle_beta 90.00
_cell_angle_gamma 90.00
loop_
_atom_site_label
_atom_site_type_symbol
_atom_site_fract_x
_atom_site_fract_y
_atom_site_fract_z
_atom_site_occupancy
W1 W 0.000 0.000 0.000 1
Br1 Br 0.000 0.000 0.301 1
Br2 Br 0.000 0.199 0.001 1
Br3 Br 0.167 0.000 0.847 1
N1 N 0.250 0.250 0.354 1
```

---

Computed powder XRD pattern
Compound: Ca2TlFe
Radiation: Cu Kα (weighted mean of Kα1 and Kα2)
Structure: a structure optimized by DFT (PBE)
Neutral-atom scattering factors, no anomalous dispersion.

Main lines, most intense first (2θ from 5° to 70°):
(2 2 0), 2θ 34.92, I = 100
(1 1 1), 2θ 21.17, I = 48
(4 2 2), 2θ 62.62, I = 35
(3 1 1), 2θ 41.20, I = 27
(2 0 0), 2θ 24.50, I = 20
(4 0 0), 2θ 50.21, I = 17
(3 3 1), 2θ 55.08, I = 12
(5 1 1), 2θ 66.90, I = 9
(4 2 0), 2θ 56.64, I = 9
(2 2 2), 2θ 43.12, I = 6

Structure:
```
data_Ca2TlFe
_space_group_name_H-M_alt 'F -4 3 m'
_space_group_IT_number 216
_space_group_name_Hall 'F -4 2 3'
_cell_length_a 7.268
_cell_length_b 7.268
_cell_length_c 7.268
_cell_angle_alpha 90.00
_cell_angle_beta 90.00
_cell_angle_gamma 90.00
loop_
_atom_site_label
_atom_site_type_symbol
_atom_site_fract_x
_atom_site_fract_y
_atom_site_fract_z
_atom_site_occupancy
Ca1 Ca 0.000 0.000 0.000 1
Ca2 Ca 0.250 0.250 0.250 1
Tl1 Tl 0.000 0.000 0.500 1
Fe1 Fe 0.250 0.250 0.750 1
```

---

Computed powder XRD pattern
Compound: Pm2SOF2
Radiation: Cu Kα (weighted mean of Kα1 and Kα2)
Structure: a structure optimized by DFT (PBE)
Neutral-atom scattering factors, no anomalous dispersion.

Main lines, most intense first (2θ from 5° to 70°):
(1 1 1), 2θ 28.59, I = 100
(0 2 1), 2θ 28.85, I = 92
(1 1 0), 2θ 25.86, I = 79
(1 2 3), 2θ 51.20, I = 61
(1 1 2), 2θ 35.64, I = 58
(1 0 4), 2θ 54.74, I = 54
(0 0 2), 2θ 24.10, I = 53
(2 0 0), 2θ 45.44, I = 47
(1 2 1), 2θ 36.74, I = 45
(1 3 1), 2θ 47.67, I = 44

Structure:
```
data_Pm2SOF2
_space_group_name_H-M_alt 'P m c 21'
_space_group_IT_number 26
_space_group_name_Hall 'P 2c -2'
_cell_length_a 3.993
_cell_length_b 6.816
_cell_length_c 7.384
_cell_angle_alpha 90.00
_cell_angle_beta 90.00
_cell_angle_gamma 90.00
loop_
_atom_site_label
_atom_site_type_symbol
_atom_site_fract_x
_atom_site_fract_y
_atom_site_fract_z
_atom_site_occupancy
Pm1 Pm 0.000 0.104 0.000 1
Pm2 Pm 0.500 0.366 0.614 1
S1 S 0.500 0.134 0.311 1
O1 O 0.000 0.187 0.673 1
F1 F 0.000 0.429 0.122 1
F2 F 0.500 0.333 0.925 1
```

---

Computed powder XRD pattern
Compound: Cs2HoPbF6
Radiation: Cu Kα (weighted mean of Kα1 and Kα2)
Structure: a structure optimized by DFT (PBE)
Neutral-atom scattering factors, no anomalous dispersion.

Main lines, most intense first (2θ from 5° to 70°):
(1 2 1), 2θ 26.24, I = 100
(0 0 2), 2θ 22.93, I = 31
(2 0 2), 2θ 36.05, I = 28
(2 0 0), 2θ 27.44, I = 24
(3 2 1), 2θ 47.78, I = 22
(0 4 0), 2θ 38.77, I = 19
(2 4 2), 2θ 53.99, I = 17
(1 2 3), 2θ 42.35, I = 16
(2 4 0), 2θ 48.16, I = 12
(0 4 2), 2θ 45.54, I = 10

Structure:
```
data_Cs2HoPbF6
_space_group_name_H-M_alt 'P m m n'
_space_group_IT_number 59
_cell_length_a 6.500
_cell_length_b 9.286
_cell_length_c 7.758
_cell_angle_alpha 90.00
_cell_angle_beta 90.00
_cell_angle_gamma 90.00
loop_
_space_group_symop_operation_xyz
'x,y,z'
'-x,-y,-z'
'-x+1/2,-y+1/2,z'
'x+1/2,y+1/2,-z'
'x+1/2,-y,-z'
'-x+1/2,y,z'
'-x,y+1/2,-z'
'x,-y+1/2,z'
loop_
_atom_site_label
_atom_site_type_symbol
_atom_site_fract_x
_atom_site_fract_y
_atom_site_fract_z
_atom_site_occupancy
Cs1 Cs 0.250 0.004 0.204 1
Ho1 Ho 0.250 0.750 0.765 1
Pb1 Pb 0.250 0.250 0.709 1
F1 F 0.008 0.250 0.412 1
F2 F 0.018 0.750 0.969 1
F3 F 0.250 0.513 0.777 1
```

---

Computed powder XRD pattern
Compound: Na3Zr3ScS8
Radiation: Cu Kα (weighted mean of Kα1 and Kα2)
Structure: a structure optimized by DFT (PBE)
Neutral-atom scattering factors, no anomalous dispersion.

Main lines, most intense first (2θ from 5° to 70°):
(0 2 4), 2θ 33.00, I = 100
(0 0 3), 2θ 12.92, I = 72
(2 0 8), 2θ 45.29, I = 36
(2 2 0), 2θ 49.38, I = 30
(0 2 1), 2θ 28.25, I = 19
(0 2 7), 2θ 41.77, I = 16
(4 0 4), 2θ 60.68, I = 15
(2 2 3), 2θ 51.26, I = 12
(0 4 8), 2θ 69.23, I = 9
(2 0 11), 2θ 57.10, I = 8

Structure:
```
data_Na3Zr3ScS8
_space_group_name_H-M_alt 'R -3 m'
_space_group_IT_number 166
_space_group_name_Hall '-R 3 2"'
_cell_length_a 7.3826
_cell_length_b 7.3826
_cell_length_c 20.5514
_cell_angle_alpha 90.00
_cell_angle_beta 90.00
_cell_angle_gamma 120.00
loop_
_atom_site_label
_atom_site_type_symbol
_atom_site_fract_x
_atom_site_fract_y
_atom_site_fract_z
_atom_site_occupancy
Na1 Na 0.0000 0.5000 0.0000 1
Zr1 Zr 0.0000 0.5000 0.5000 1
Sc1 Sc 0.0000 0.0000 0.5000 1
S1 S 0.0000 0.0000 0.2415 1
S2 S 0.0005 0.5003 0.7608 1
```

---

Computed powder XRD pattern
Compound: Th4SiAsS2
Radiation: Cu Kα (weighted mean of Kα1 and Kα2)
Structure: a structure optimized by DFT (PBE)
Neutral-atom scattering factors, no anomalous dispersion.

Main lines, most intense first (2θ from 5° to 70°):
(1 1 1), 2θ 30.40, I = 100
(1 1 -1), 2θ 26.12, I = 65
(0 2 0), 2θ 43.19, I = 39
(3 1 -1), 2θ 43.86, I = 37
(2 2 0), 2θ 51.47, I = 22
(2 0 0), 2θ 26.64, I = 21
(2 2 -2), 2θ 53.73, I = 20
(2 2 2), 2θ 63.25, I = 13
(0 2 2), 2θ 51.17, I = 11
(4 0 -2), 2θ 52.06, I = 11

Structure:
```
data_Th4SiAsS2
_space_group_name_H-M_alt 'P 1 2/m 1'
_space_group_IT_number 10
_space_group_name_Hall '-P 2y'
_cell_length_a 7.116
_cell_length_b 4.185
_cell_length_c 7.264
_cell_angle_alpha 90.00
_cell_angle_beta 109.86
_cell_angle_gamma 90.00
loop_
_atom_site_label
_atom_site_type_symbol
_atom_site_fract_x
_atom_site_fract_y
_atom_site_fract_z
_atom_site_occupancy
Th1 Th 0.243 0.000 0.242 1
Th2 Th 0.246 0.500 0.753 1
Si1 Si 0.500 0.000 0.000 1
As1 As 0.500 0.500 0.500 1
S1 S 0.000 0.000 0.500 1
S2 S 0.000 0.500 0.000 1
```

---

Computed powder XRD pattern
Compound: Al3Tc2
Radiation: Cu Kα (weighted mean of Kα1 and Kα2)
Structure: a structure optimized by DFT (PBE)
Neutral-atom scattering factors, no anomalous dispersion.

Main lines, most intense first (2θ from 5° to 70°):
(1 0 5), 2θ 42.43, I = 100
(1 1 0), 2θ 40.45, I = 56
(1 0 1), 2θ 28.98, I = 48
(0 0 4), 2θ 24.65, I = 23
(2 0 0), 2θ 58.54, I = 19
(1 1 4), 2θ 47.95, I = 15
(0 0 10), 2θ 64.50, I = 13
(0 0 2), 2θ 12.25, I = 12
(2 1 1), 2θ 66.63, I = 9
(1 0 9), 2θ 65.22, I = 7

Structure:
```
data_Al3Tc2
_space_group_name_H-M_alt 'I 4/m m m'
_space_group_IT_number 139
_space_group_name_Hall '-I 4 2'
_cell_length_a 3.154
_cell_length_b 3.154
_cell_length_c 14.445
_cell_angle_alpha 90.00
_cell_angle_beta 90.00
_cell_angle_gamma 90.00
loop_
_atom_site_label
_atom_site_type_symbol
_atom_site_fract_x
_atom_site_fract_y
_atom_site_fract_z
_atom_site_occupancy
Al1 Al 0.000 0.000 0.000 1
Al2 Al 0.000 0.000 0.195 1
Tc1 Tc 0.000 0.000 0.398 1
```

---

Computed powder XRD pattern
Compound: LiCe3U3S8
Radiation: Cu Kα (weighted mean of Kα1 and Kα2)
Structure: a structure optimized by DFT (PBE)
Neutral-atom scattering factors, no anomalous dispersion.

Main lines, most intense first (2θ from 5° to 70°):
(0 2 4), 2θ 32.22, I = 100
(2 0 2), 2θ 27.91, I = 53
(0 1 2), 2θ 15.95, I = 37
(2 0 8), 2θ 45.94, I = 37
(2 2 0), 2θ 46.48, I = 36
(4 0 4), 2θ 57.68, I = 19
(0 0 6), 2θ 27.49, I = 18
(2 2 6), 2θ 54.85, I = 18
(1 0 4), 2θ 22.50, I = 17
(1 1 0), 2θ 22.76, I = 16

Structure:
```
data_LiCe3U3S8
_space_group_name_H-M_alt 'R -3 m'
_space_group_IT_number 166
_space_group_name_Hall '-R 3 2"'
_cell_length_a 7.8149
_cell_length_b 7.8149
_cell_length_c 19.4672
_cell_angle_alpha 90.00
_cell_angle_beta 90.00
_cell_angle_gamma 120.00
loop_
_atom_site_label
_atom_site_type_symbol
_atom_site_fract_x
_atom_site_fract_y
_atom_site_fract_z
_atom_site_occupancy
Li1 Li 0.0000 0.0000 0.0000 1
Ce1 Ce 0.0000 0.5000 0.5000 1
U1 U 0.0000 0.5000 0.0000 1
S1 S 0.0000 0.0000 0.2534 1
S2 S 0.0022 0.5011 0.7454 1
```

---

Computed powder XRD pattern
Compound: LaHo2Os
Radiation: Cu Kα (weighted mean of Kα1 and Kα2)
Structure: a structure optimized by DFT (PBE)
Neutral-atom scattering factors, no anomalous dispersion.

Main lines, most intense first (2θ from 5° to 70°):
(2 2 1), 2θ 33.90, I = 100
(1 1 2), 2θ 31.69, I = 82
(1 3 1), 2θ 34.44, I = 79
(0 3 1), 2θ 32.19, I = 54
(3 0 1), 2θ 38.95, I = 53
(2 3 0), 2θ 37.95, I = 49
(2 2 0), 2θ 30.89, I = 37
(1 2 2), 2θ 35.98, I = 35
(1 0 1), 2θ 18.18, I = 32
(1 0 2), 2θ 30.13, I = 32

Structure:
```
data_LaHo2Os
_space_group_name_H-M_alt 'P n m a'
_space_group_IT_number 62
_space_group_name_Hall '-P 2ac 2n'
_cell_length_a 7.430
_cell_length_b 9.239
_cell_length_c 6.469
_cell_angle_alpha 90.00
_cell_angle_beta 90.00
_cell_angle_gamma 90.00
loop_
_atom_site_label
_atom_site_type_symbol
_atom_site_fract_x
_atom_site_fract_y
_atom_site_fract_z
_atom_site_occupancy
La1 La 0.047 0.250 0.133 1
Ho1 Ho 0.172 0.066 0.664 1
Os1 Os 0.121 0.750 0.450 1
```

---

Computed powder XRD pattern
Compound: MnCoB2
Radiation: Cu Kα (weighted mean of Kα1 and Kα2)
Structure: a structure optimized by DFT (PBE)
Neutral-atom scattering factors, no anomalous dispersion.

Main lines, most intense first (2θ from 5° to 70°):
(1 1 1), 2θ 45.06, I = 100
(1 0 2), 2θ 38.80, I = 89
(0 1 3), 2θ 48.26, I = 49
(0 1 1), 2θ 32.87, I = 48
(0 0 4), 2θ 49.33, I = 25
(1 1 3), 2θ 57.85, I = 23
(2 0 0), 2θ 62.23, I = 16
(0 2 0), 2θ 63.47, I = 15
(1 0 4), 2θ 58.79, I = 8
(0 0 2), 2θ 24.09, I = 2

Structure:
```
data_MnCoB2
_space_group_name_H-M_alt 'A m m 2'
_space_group_IT_number 38
_space_group_name_Hall 'A 2 -2'
_cell_length_a 2.984
_cell_length_b 2.931
_cell_length_c 7.389
_cell_angle_alpha 90.00
_cell_angle_beta 90.00
_cell_angle_gamma 90.00
loop_
_atom_site_label
_atom_site_type_symbol
_atom_site_fract_x
_atom_site_fract_y
_atom_site_fract_z
_atom_site_occupancy
Mn1 Mn 0.000 0.000 0.000 1
Co1 Co 0.500 0.000 0.281 1
B1 B 0.000 0.000 0.713 1
B2 B 0.500 0.000 0.572 1
```

---

Computed powder XRD pattern
Compound: Ti2S
Radiation: Cu Kα (weighted mean of Kα1 and Kα2)
Structure: a structure optimized by DFT (PBE)
Neutral-atom scattering factors, no anomalous dispersion.

Main lines, most intense first (2θ from 5° to 70°):
(2 1 1), 2θ 40.48, I = 100
(1 1 2), 2θ 37.77, I = 98
(3 0 1), 2θ 43.37, I = 66
(1 0 3), 2θ 36.25, I = 41
(1 1 3), 2θ 45.68, I = 37
(0 2 0), 2θ 55.31, I = 32
(2 1 0), 2θ 38.83, I = 24
(3 1 4), 2θ 69.90, I = 20
(0 0 4), 2θ 45.11, I = 19
(1 0 4), 2θ 47.32, I = 17

Structure:
```
data_Ti2S
_space_group_name_H-M_alt 'P n m a'
_space_group_IT_number 62
_space_group_name_Hall '-P 2ac 2n'
_cell_length_a 6.480
_cell_length_b 3.322
_cell_length_c 8.045
_cell_angle_alpha 90.00
_cell_angle_beta 90.00
_cell_angle_gamma 90.00
loop_
_atom_site_label
_atom_site_type_symbol
_atom_site_fract_x
_atom_site_fract_y
_atom_site_fract_z
_atom_site_occupancy
Ti1 Ti 0.018 0.250 0.170 1
Ti2 Ti 0.149 0.250 0.559 1
S1 S 0.225 0.750 0.349 1
```